Calculated powder diffractogram
Compound: DySnO3
Radiation: Cu Ka
Structure: the PBE geometry in the Materials Project
No peak broadening, texture or thermal motion is included.

Atomic structure:
a = 4.1385 Å, b = 4.1385 Å, c = 4.1385 Å
α = 90.00°, β = 90.00°, γ = 90.00°
Fractional coordinates of all 5 atoms:
Dy1 0.0000 0.0000 0.0000
Sn1 0.5000 0.5000 0.5000
O1 0.0000 0.5000 0.5000
O2 0.5000 0.0000 0.5000
O3 0.5000 0.5000 0.0000

Largest 10 diffraction maxima, in order of rising 2θ, 2θ = 10–90°:
d/Å	I/Imax	h k l
4.138	0.7	1 0 0
2.926	100.0	1 1 0
2.389	4.1	1 1 1
2.069	29.1	2 0 0
1.690	41.6	2 1 1
1.463	18.5	2 2 0
1.309	18.4	3 1 0
1.248	1.0	3 1 1
1.195	6.3	2 2 2
1.106	23.2	3 2 1